Calculated PXRD pattern
Compound: Na2VP2O8
Radiation: Cu Kα (weighted mean of Kα1 and Kα2)
Structure: the GGA+U geometry in the Materials Project
Peak positions follow from Bragg's law for the DFT cell and can differ from measured ones.

```
52
Lattice="7.823 0.000 0.000 0.000 13.626 0.000 -1.077 0.000 6.280" Properties=species:S:1:pos:R:3 pbc="T T T"
Na -0.243 1.800 2.751
Na -0.782 5.013 5.892
Na 3.042 2.886 2.139
Na 2.503 3.927 5.279
Na 4.243 9.699 1.001
Na 3.704 10.740 4.141
Na 7.527 8.613 0.389
Na 6.989 11.826 3.529
V 1.341 7.821 4.590
V 1.880 12.618 1.450
V 4.866 1.008 4.831
V 5.404 5.805 1.691
P 0.071 1.813 6.022
P 0.610 5.000 2.882
P 2.287 7.064 1.570
P 1.748 13.375 4.710
P 4.998 0.251 1.570
P 4.459 6.562 4.710
P 6.136 8.626 3.399
P 6.675 11.813 0.259
O -0.490 8.685 4.367
O 0.049 11.754 1.227
O 0.937 0.856 0.917
O 0.399 5.957 4.057
O 1.641 3.185 0.156
O 1.102 3.628 3.296
O 1.664 7.292 0.176
O 1.126 13.147 3.317
O 1.660 8.030 2.584
O 1.121 12.409 5.724
O 1.326 1.247 5.118
O 1.864 5.566 1.978
O 2.183 9.158 5.114
O 2.722 11.281 1.973
O 3.474 0.317 1.603
O 2.935 6.496 4.743
O 3.811 7.130 1.538
O 3.272 13.308 4.678
O 4.024 2.345 4.307
O 4.563 4.468 1.167
O 4.881 8.060 4.303
O 5.420 12.378 1.162
O 5.625 1.217 0.556
O 5.086 5.596 3.696
O 5.620 0.479 2.964
O 5.081 6.334 6.104
O 5.644 9.998 2.984
O 5.105 10.441 6.125
O 6.347 7.669 2.224
O 5.808 12.770 5.364
O 6.697 1.872 5.053
O 7.235 4.941 1.913
```

The 6 most intense peaks (5 to 70 degrees two-theta), low angle first:
12.99 deg, intensity 100, (0 2 0); 19.22 deg, intensity 32, (0 2 1); 22.72 deg, intensity 48, (1 3 0); 26.57 deg, intensity 35, (2 2 0); 28.65 deg, intensity 45, (1 4 0); 31.91 deg, intensity 35, (2 3 -1)

---

Calculated PXRD pattern
Compound: Li4Co3NiO8
Radiation: Cu Kα (weighted mean of Kα1 and Kα2)
Structure: the GGA+U geometry in the Materials Project
Peak positions follow from Bragg's law for the DFT cell and can differ from measured ones.

```
32
Lattice="5.860 0.000 0.000 2.906 5.090 0.000 2.796 1.600 9.511" Properties=species:S:1:pos:R:3 pbc="T T T"
Li 0.000 0.000 0.000
Li 1.421 0.818 4.745
Li 5.725 5.058 7.034
Li 4.337 4.212 2.258
Li 7.167 4.171 9.489
Li 5.808 3.359 4.720
Li 7.215 2.526 7.198
Li 5.849 1.659 2.444
Co 2.925 3.373 4.756
Co 2.896 1.682 2.375
Co 5.699 1.614 9.491
Co 4.356 0.810 4.745
Co 8.658 5.062 7.120
Co 10.095 4.149 9.498
Ni 4.292 2.493 7.118
Ni 7.277 4.233 2.360
O 4.197 4.175 5.922
O 2.808 3.332 1.137
O 1.534 0.828 1.101
O 2.996 1.613 5.808
O 5.697 3.187 8.426
O 4.337 2.394 3.618
O 5.932 5.157 3.625
O 7.319 5.933 8.345
O 4.200 0.820 1.139
O 5.849 3.540 1.053
O 5.674 1.534 5.910
O 7.324 4.328 5.917
O 9.940 5.876 8.320
O 8.610 5.098 3.672
O 8.742 3.451 8.282
O 7.417 2.528 3.538
```

The 6 most intense peaks (5 to 70 degrees two-theta), low angle first:
18.48 deg, intensity 100, (1 1 0); 35.89 deg, intensity 29, (1 -1 2); 36.39 deg, intensity 13, (1 1 4); 43.52 deg, intensity 50, (2 0 -2); 44.19 deg, intensity 23, (2 2 4); 63.23 deg, intensity 14, (2 -2 0)

---

Calculated PXRD pattern
Compound: MgCrGe2O6
Radiation: Cu Kα (weighted mean of Kα1 and Kα2)
Structure: the GGA+U geometry in the Materials Project
Peak positions follow from Bragg's law for the DFT cell and can differ from measured ones.

```
40
Lattice="9.868 0.000 0.000 0.000 9.368 0.000 -1.219 0.000 5.298" Properties=species:S:1:pos:R:3 pbc="T T T"
Mg 1.844 0.108 2.361
Mg 1.235 4.576 5.010
Mg 7.414 4.792 0.287
Mg 6.805 9.260 2.936
Cr 1.860 6.130 2.406
Cr 1.251 7.923 5.055
Cr 7.398 1.446 0.243
Cr 6.789 3.239 2.891
Ge -0.465 1.543 4.391
Ge 0.144 3.141 1.742
Ge 4.206 1.451 1.275
Ge 3.597 3.233 3.924
Ge 5.052 6.135 1.373
Ge 4.443 7.917 4.022
Ge 8.505 6.227 3.556
Ge 9.114 7.826 0.907
O 0.844 1.644 0.924
O 0.234 3.040 3.573
O 0.384 6.199 3.918
O 0.993 7.853 1.270
O 0.462 0.233 3.790
O 1.072 4.451 1.141
O 3.347 6.057 0.976
O 2.737 7.995 3.624
O 2.789 4.752 3.687
O 3.399 9.300 1.038
O 3.209 1.967 2.708
O 3.819 2.717 0.059
O 4.830 6.651 5.239
O 5.440 7.401 2.590
O 5.250 0.068 4.259
O 5.860 4.616 1.610
O 5.912 1.373 1.673
O 5.302 3.311 4.322
O 7.577 4.917 4.157
O 8.187 9.135 1.508
O 7.656 1.515 4.028
O 8.265 3.169 1.379
O 8.415 6.328 1.725
O 7.805 7.724 4.374
```

The 6 most intense peaks (5 to 70 degrees two-theta), low angle first:
25.70 deg, intensity 39, (1 2 -1); 28.34 deg, intensity 100, (1 2 1); 29.45 deg, intensity 75, (3 1 0); 34.81 deg, intensity 41, (2 0 -2); 35.00 deg, intensity 37, (3 2 -1); 53.97 deg, intensity 26, (4 3 1)